1.
Simulated PXRD pattern
Compound: Dy5Fe2B6
Radiation: Cu Kα, 1.54184 Å
Structure: a structure optimized by DFT (GGA-PBE)
Lines closer than 0.1° are merged.

Principal peaks in the range 15 to 90 degrees two-theta, in order of rising 2θ:
| 2θ (°) | I_rel |
| --- | --- |
| 23.26 | 21 |
| 27.21 | 22 |
| 33.14 | 100 |
| 33.37 | 32 |
| 36.75 | 18 |
| 40.88 | 40 |
| 47.74 | 12 |
| 59.19 | 44 |
| 59.34 | 13 |
| 69.54 | 12 |

Structural model:
```
Dy5Fe2B6
1.0
2.704 1.561 7.647
-2.704 1.561 7.647
0.000 -3.122 7.647
Dy Fe B
5 2 6
Direct
0.000 0.000 0.000
0.251 0.251 0.251
0.416 0.416 0.416
0.584 0.584 0.584
0.749 0.749 0.749
0.118 0.118 0.118
0.882 0.882 0.882
0.168 0.500 0.832
0.168 0.832 0.500
0.500 0.168 0.832
0.500 0.832 0.168
0.832 0.168 0.500
0.832 0.500 0.168
```

2.
Simulated PXRD pattern
Compound: DyFe4B4
Radiation: Cu Kα, 1.54184 Å
Structure: a structure optimized by DFT (GGA-PBE)
Lines closer than 0.1° are merged.

Principal peaks in the range 15 to 90 degrees two-theta, in order of rising 2θ:
| 2θ (°) | I_rel |
| --- | --- |
| 25.68 | 30 |
| 26.66 | 63 |
| 36.63 | 18 |
| 37.35 | 100 |
| 41.14 | 72 |
| 49.54 | 15 |
| 53.32 | 31 |
| 60.09 | 16 |
| 64.75 | 15 |
| 72.48 | 18 |

Structural model:
```
DyFe4B4
1.0
6.938 0.000 0.000
0.000 6.938 0.000
0.000 0.000 3.816
Dy Fe B
2 8 8
Direct
0.250 0.250 0.250
0.750 0.750 0.750
0.118 0.635 0.140
0.135 0.882 0.640
0.365 0.618 0.640
0.382 0.865 0.140
0.618 0.135 0.860
0.635 0.382 0.360
0.865 0.118 0.360
0.882 0.365 0.860
0.051 0.917 0.143
0.083 0.551 0.643
0.417 0.949 0.643
0.449 0.583 0.143
0.551 0.417 0.857
0.583 0.051 0.357
0.917 0.449 0.357
0.949 0.083 0.857
```

3.
Simulated PXRD pattern
Compound: DyHoFe8B2
Radiation: Cu Kα, 1.54184 Å
Structure: a structure optimized by DFT (GGA-PBE)
Lines closer than 0.1° are merged.

Principal peaks in the range 15 to 90 degrees two-theta, in order of rising 2θ:
| 2θ (°) | I_rel |
| --- | --- |
| 20.30 | 20 |
| 32.72 | 96 |
| 35.54 | 34 |
| 41.27 | 72 |
| 44.18 | 100 |
| 62.05 | 31 |
| 64.70 | 15 |
| 68.58 | 19 |
| 69.85 | 24 |
| 75.24 | 20 |

Structural model:
```
DyHoFe8B2
1.0
5.052 0.000 0.000
-2.526 4.375 0.000
0.000 0.000 7.016
Dy Ho Fe B
1 1 8 2
Direct
0.000 0.000 0.000
0.000 0.000 0.500
0.000 0.500 0.286
0.000 0.500 0.714
0.333 0.667 0.000
0.500 0.000 0.286
0.500 0.000 0.714
0.500 0.500 0.286
0.500 0.500 0.714
0.667 0.333 0.000
0.333 0.667 0.500
0.667 0.333 0.500
```